No. 1
Starting from a structure optimized by DFT (PBE), the powder diffractogram of TbNd2H was simulated for Cu Kα (weighted mean of Kα1 and Kα2).

Principal peaks in the range 2θ from 10° to 80°, in order of falling intensity:
2θ (°)  I/Imax
31.1  100.0
32.8  85.5
30.6  47.6
59.2  44.0
49.3  38.2
28.1  38.0
53.5  21.5
56.8  18.0
39.3  16.1
59.5  15.7

Atomic structure:
a = 3.693 Å, b = 3.693 Å, c = 26.335 Å
α = 90.00°, β = 90.00°, γ = 120.00°
Positions (direct):
Tb: 0.000 0.000 0.000
Tb: 0.333 0.667 0.667
Tb: 0.667 0.333 0.333
Nd: 0.000 0.000 0.222
Nd: 0.000 0.000 0.778
Nd: 0.333 0.667 0.444
Nd: 0.333 0.667 0.889
Nd: 0.667 0.333 0.111
Nd: 0.667 0.333 0.556
H: 0.000 0.000 0.500
H: 0.333 0.667 0.167
H: 0.667 0.333 0.833

=====

No. 2
Starting from a structure optimized by DFT (PBE), the powder diffractogram of PmPrSn was simulated for Cu Kα (weighted mean of Kα1 and Kα2).

Principal peaks in the range 2θ from 10° to 80°, in order of falling intensity:
2θ (°)  I/Imax
34.2  100.0
30.0  73.1
56.0  49.2
42.9  27.7
63.7  15.1
70.7  12.8
73.1  11.3
72.0  10.6
62.3  9.2
54.8  5.9

Atomic structure:
a = 4.214 Å, b = 4.214 Å, c = 10.048 Å
α = 90.00°, β = 90.00°, γ = 90.00°
Positions (direct):
Pm: 0.000 0.000 0.000
Pm: 0.500 0.500 0.500
Pr: 0.000 0.000 0.310
Pr: 0.500 0.500 0.810
Sn: 0.000 0.000 0.653
Sn: 0.500 0.500 0.153

=====

No. 3
Starting from a structure optimized by DFT (PBE), the powder diffractogram of Np4TlO12 was simulated for Cu Kα (weighted mean of Kα1 and Kα2).

Principal peaks in the range 2θ from 10° to 80°, in order of falling intensity:
2θ (°)  I/Imax
30.2  100.0
21.2  67.7
53.6  42.8
48.7  30.6
43.2  29.7
62.8  19.1
15.0  19.0
71.3  19.0
67.1  14.6
26.1  10.3

Atomic structure:
a = 7.248 Å, b = 7.248 Å, c = 7.248 Å
α = 109.47°, β = 109.47°, γ = 109.47°
Positions (direct):
Np: 0.000 0.000 0.500
Np: 0.000 0.500 0.000
Np: 0.500 0.000 0.000
Np: 0.500 0.500 0.500
Tl: 0.000 0.000 0.000
O: 0.002 0.752 0.250
O: 0.248 0.250 0.498
O: 0.248 0.750 0.998
O: 0.250 0.002 0.752
O: 0.250 0.498 0.248
O: 0.498 0.248 0.250
O: 0.502 0.752 0.750
O: 0.750 0.502 0.752
O: 0.750 0.998 0.248
O: 0.752 0.250 0.002
O: 0.752 0.750 0.502
O: 0.998 0.248 0.750

=====

No. 4
Starting from a structure optimized by DFT (PBE), the powder diffractogram of Nd2HgPdO5 was simulated for Cu Kα (weighted mean of Kα1 and Kα2).

Principal peaks in the range 2θ from 10° to 80°, in order of falling intensity:
2θ (°)  I/Imax
30.2  100.0
33.0  32.9
31.3  32.6
36.8  25.2
43.1  23.8
49.1  21.9
55.0  18.8
41.3  15.7
24.0  15.3
55.6  13.5

Atomic structure:
a = 6.907 Å, b = 6.907 Å, c = 5.720 Å
α = 90.00°, β = 90.00°, γ = 90.00°
Positions (direct):
Nd: 0.174 0.326 0.000
Nd: 0.326 0.826 0.000
Nd: 0.674 0.174 0.000
Nd: 0.826 0.674 0.000
Hg: 0.000 0.000 0.500
Hg: 0.500 0.500 0.500
Pd: 0.000 0.500 0.500
Pd: 0.500 0.000 0.500
O: 0.000 0.000 0.000
O: 0.137 0.637 0.244
O: 0.137 0.637 0.756
O: 0.363 0.137 0.244
O: 0.363 0.137 0.756
O: 0.500 0.500 0.000
O: 0.637 0.863 0.244
O: 0.637 0.863 0.756
O: 0.863 0.363 0.244
O: 0.863 0.363 0.756

=====

No. 5
Starting from a structure optimized by DFT (PBE), the powder diffractogram of Tb4C5 was simulated for Cu Kα (weighted mean of Kα1 and Kα2).

Principal peaks in the range 2θ from 10° to 80°, in order of falling intensity:
2θ (°)  I/Imax
28.3  100.0
32.7  69.7
31.4  53.0
37.2  48.4
53.7  38.1
57.4  36.8
36.4  34.8
30.8  34.7
27.9  27.6
60.4  24.1

Atomic structure:
a = 6.629 Å, b = 12.048 Å, c = 3.700 Å
α = 90.00°, β = 90.00°, γ = 90.00°
Positions (direct):
Tb: 0.108 0.195 0.000
Tb: 0.245 0.957 0.500
Tb: 0.255 0.457 0.500
Tb: 0.392 0.695 0.000
Tb: 0.608 0.305 0.000
Tb: 0.745 0.543 0.500
Tb: 0.755 0.043 0.500
Tb: 0.892 0.805 0.000
C: 0.000 0.000 0.000
C: 0.097 0.656 0.500
C: 0.137 0.764 0.500
C: 0.363 0.264 0.500
C: 0.403 0.156 0.500
C: 0.500 0.500 0.000
C: 0.597 0.844 0.500
C: 0.637 0.736 0.500
C: 0.863 0.236 0.500
C: 0.903 0.344 0.500

=====

No. 6
Starting from a structure optimized by DFT (PBE), the powder diffractogram of Tm4USb5 was simulated for Cu Kα (weighted mean of Kα1 and Kα2).

Principal peaks in the range 2θ from 10° to 80°, in order of falling intensity:
2θ (°)  I/Imax
29.1  100.0
41.6  76.3
51.5  27.3
75.9  26.2
68.3  23.4
68.2  11.8
60.3  8.5
25.1  7.3
60.2  4.3
49.2  4.0

Atomic structure:
a = 7.521 Å, b = 7.521 Å, c = 7.521 Å
α = 99.63°, β = 99.63°, γ = 131.72°
Positions (direct):
Tm: 0.100 0.300 0.400
Tm: 0.300 0.900 0.199
Tm: 0.700 0.100 0.801
Tm: 0.900 0.700 0.600
U: 0.500 0.500 0.000
Sb: 0.000 0.000 0.000
Sb: 0.199 0.599 0.798
Sb: 0.401 0.199 0.600
Sb: 0.599 0.801 0.400
Sb: 0.801 0.401 0.202